No. 1
# Tb2DyYSe6
Calculated XRD peak list, Cu Kα X-rays. Input: a DFT-relaxed cell (GGA-PBE, Alexandria).
Peak positions follow from Bragg's law for the DFT cell and can differ from measured ones.

Top 12 peaks for 10° ≤ 2θ ≤ 80°, in order of falling intensity:
Position (°2θ)  I (rel.)
37.23  100
28.27  69
43.38  64
23.14  52
16.84  44
34.06  36
24.64  32
42.49  32
49.00  32
58.46  26
75.53  22
61.68  13

Atomic structure:
Cell lengths 7.7193, 7.7193, 7.7193 Å; angles 55.81, 55.81, 55.81 degrees
Fractional coordinates of all 10 atoms:
Tb (0.0000, 0.0000, 0.0000)
Tb (0.4999, 0.4999, 0.4999)
Dy (0.1965, 0.1965, 0.1965)
Y (0.6964, 0.6964, 0.6964)
Se (0.0967, 0.4040, 0.7956)
Se (0.2950, 0.9043, 0.5965)
Se (0.4040, 0.7956, 0.0967)
Se (0.5965, 0.2950, 0.9043)
Se (0.7956, 0.0967, 0.4040)
Se (0.9043, 0.5965, 0.2950)


No. 2
# Pu3In7Pt4
Calculated XRD peak list, Cu Kα X-rays. Input: a DFT-relaxed cell (GGA-PBE, Alexandria).
Peak positions follow from Bragg's law for the DFT cell and can differ from measured ones.

Top 12 peaks for 10° ≤ 2θ ≤ 80°, in order of falling intensity:
Position (°2θ)  I (rel.)
33.89  100
31.97  96
33.20  92
40.62  71
38.61  38
27.74  35
40.86  32
34.06  28
38.00  27
57.28  25
47.08  20
35.26  18

Atomic structure:
Cell lengths 8.5951, 8.5951, 10.2241 Å; angles 121.36, 121.36, 29.95 degrees
Fractional coordinates of all 14 atoms:
Pu (0.0000, 0.0000, 0.0000)
Pu (0.3091, 0.3091, 0.2989)
Pu (0.6909, 0.6909, 0.7011)
In (0.0000, 0.0000, 0.5000)
In (0.1640, 0.1640, 0.4338)
In (0.3177, 0.3177, 0.9742)
In (0.4930, 0.4930, 0.7103)
In (0.5070, 0.5070, 0.2897)
In (0.6823, 0.6823, 0.0258)
In (0.8360, 0.8360, 0.5662)
Pt (0.1173, 0.1173, 0.8355)
Pt (0.3365, 0.3365, 0.7309)
Pt (0.6635, 0.6635, 0.2691)
Pt (0.8827, 0.8827, 0.1645)


No. 3
# RePb2
Calculated XRD peak list, Cu Kα X-rays. Input: a DFT-relaxed cell (GGA-PBE, Alexandria).
Peak positions follow from Bragg's law for the DFT cell and can differ from measured ones.

Top 12 peaks for 10° ≤ 2θ ≤ 80°, in order of falling intensity:
Position (°2θ)  I (rel.)
32.91  100
34.97  86
31.06  70
29.69  70
40.74  56
35.43  50
30.09  42
37.73  31
53.68  30
28.65  29
65.69  28
51.28  26

Atomic structure:
Cell lengths 10.2732, 3.4150, 9.2299 Å; angles 90.00, 103.45, 90.00 degrees
Fractional coordinates of all 12 atoms:
Re (0.0000, 0.0000, 0.0000)
Re (0.0617, 0.5000, 0.1817)
Re (0.5000, 0.5000, 0.0000)
Re (0.5617, 0.0000, 0.1817)
Pb (0.0969, 0.0000, 0.4953)
Pb (0.2126, 0.5000, 0.9114)
Pb (0.3133, 0.0000, 0.2700)
Pb (0.4054, 0.0000, 0.6842)
Pb (0.5969, 0.5000, 0.4953)
Pb (0.7126, 0.0000, 0.9114)
Pb (0.8133, 0.5000, 0.2700)
Pb (0.9054, 0.5000, 0.6842)


No. 4
# DyThCu4
Calculated XRD peak list, Cu Kα X-rays. Input: a DFT-relaxed cell (GGA-PBE, Alexandria).
Peak positions follow from Bragg's law for the DFT cell and can differ from measured ones.

Top 12 peaks for 10° ≤ 2θ ≤ 80°, in order of falling intensity:
Position (°2θ)  I (rel.)
35.26  100
35.40  44
41.98  43
23.74  30
41.62  28
55.76  24
34.29  24
58.71  13
68.26  13
71.84  12
23.93  12
69.64  11

Atomic structure:
Cell lengths 4.3398, 6.9339, 7.4357 Å; angles 90.00, 90.00, 90.00 degrees
Fractional coordinates of all 12 atoms:
Dy (0.0000, 0.0000, 0.0000)
Dy (0.5000, 0.5000, 0.5000)
Th (0.0000, 0.5000, 0.9315)
Th (0.5000, 0.0000, 0.4315)
Cu (0.0000, 0.2081, 0.6344)
Cu (0.0000, 0.2936, 0.3029)
Cu (0.0000, 0.7064, 0.3029)
Cu (0.0000, 0.7919, 0.6344)
Cu (0.5000, 0.2064, 0.8029)
Cu (0.5000, 0.2919, 0.1344)
Cu (0.5000, 0.7081, 0.1344)
Cu (0.5000, 0.7936, 0.8029)


What did the first record say?
# Tb2DyYSe6
Calculated XRD peak list, Cu Kα X-rays. Input: a DFT-relaxed cell (GGA-PBE, Alexandria).
Peak positions follow from Bragg's law for the DFT cell and can differ from measured ones.

Top 12 peaks for 10° ≤ 2θ ≤ 80°, in order of falling intensity:
Position (°2θ)  I (rel.)
37.23  100
28.27  69
43.38  64
23.14  52
16.84  44
34.06  36
24.64  32
42.49  32
49.00  32
58.46  26
75.53  22
61.68  13

Atomic structure:
Cell lengths 7.7193, 7.7193, 7.7193 Å; angles 55.81, 55.81, 55.81 degrees
Fractional coordinates of all 10 atoms:
Tb (0.0000, 0.0000, 0.0000)
Tb (0.4999, 0.4999, 0.4999)
Dy (0.1965, 0.1965, 0.1965)
Y (0.6964, 0.6964, 0.6964)
Se (0.0967, 0.4040, 0.7956)
Se (0.2950, 0.9043, 0.5965)
Se (0.4040, 0.7956, 0.0967)
Se (0.5965, 0.2950, 0.9043)
Se (0.7956, 0.0967, 0.4040)
Se (0.9043, 0.5965, 0.2950)